Record 1
Calculated PXRD pattern
Compound: Cs2CuMoI6
Radiation: Cu Kα X-rays
Structure: a cell relaxed with GGA-PBE

Cell and atoms:
```
Cs2CuMoI6
1.0
0.0000 5.7725 5.7725
5.7725 0.0000 5.7725
5.7725 5.7725 0.0000
Cs Cu Mo I
2 1 1 6
Cartesian
2.8863 2.8863 2.8863
8.6588 8.6588 8.6588
0.0000 0.0000 0.0000
5.7725 5.7725 5.7725
5.7725 5.7725 2.9176
5.7725 2.9176 5.7725
8.6274 5.7725 5.7725
2.9176 5.7725 5.7725
5.7725 8.6274 5.7725
5.7725 5.7725 8.6274
```

Top 12 peaks for 10 to 80 degrees two-theta, low angle first:
2theta	I (rel.)
15.3	10
21.8	11
26.7	100
31.0	100
34.8	5
38.2	5
44.4	73
52.6	45
55.1	25
64.6	12
71.2	18
73.3	32

---

Record 2
Calculated PXRD pattern
Compound: Cs2PrCuI6
Radiation: Cu Kα X-rays
Structure: a cell relaxed with GGA-PBE

Cell and atoms:
```
Cs2PrCuI6
1.0
0.0000 6.0410 6.0410
6.0410 0.0000 6.0410
6.0410 6.0410 0.0000
Cs Pr Cu I
2 1 1 6
Cartesian
3.0205 3.0205 3.0205
9.0615 9.0615 9.0615
0.0000 0.0000 0.0000
6.0410 6.0410 6.0410
6.0410 6.0410 3.1393
6.0410 3.1393 6.0410
8.9427 6.0410 6.0410
3.1393 6.0410 6.0410
6.0410 8.9427 6.0410
6.0410 6.0410 8.9427
```

Top 12 peaks for 10 to 80 degrees two-theta, low angle first:
2theta	I (rel.)
14.7	15
20.8	16
25.5	83
29.6	100
33.2	8
42.3	73
50.1	37
52.5	26
61.4	12
67.6	15
69.6	32
77.4	23

---

Record 3
Calculated PXRD pattern
Compound: Cs2TaCuI6
Radiation: Cu Kα X-rays
Structure: a cell relaxed with GGA-PBE

Cell and atoms:
```
Cs2TaCuI6
1.0
0.0000 5.7878 5.7878
5.7878 0.0000 5.7878
5.7878 5.7878 0.0000
Cs Ta Cu I
2 1 1 6
Cartesian
2.8939 2.8939 2.8939
8.6816 8.6816 8.6816
0.0000 0.0000 0.0000
5.7878 5.7878 5.7878
5.7878 5.7878 2.8686
5.7878 2.8686 5.7878
8.7070 5.7878 5.7878
2.8686 5.7878 5.7878
5.7878 8.7070 5.7878
5.7878 5.7878 8.7070
```

Top 12 peaks for 10 to 80 degrees two-theta, low angle first:
2theta	I (rel.)
15.3	20
21.7	20
26.7	72
30.9	100
34.7	11
38.1	9
44.3	73
52.4	32
55.0	26
64.4	12
71.0	13
73.1	33

---

Record 4
Calculated PXRD pattern
Compound: Cs2YCuI6
Radiation: Cu Kα X-rays
Structure: a cell relaxed with GGA-PBE

Cell and atoms:
```
Cs2YCuI6
1.0
0.0000 5.9520 5.9520
5.9520 0.0000 5.9520
5.9520 5.9520 0.0000
Cs Y Cu I
2 1 1 6
Cartesian
2.9760 2.9760 2.9760
8.9279 8.9279 8.9279
0.0000 0.0000 0.0000
5.9520 5.9520 5.9520
5.9520 5.9520 3.0426
5.9520 3.0426 5.9520
8.8613 5.9520 5.9520
3.0426 5.9520 5.9520
5.9520 8.8613 5.9520
5.9520 5.9520 8.8613
```

Top 12 peaks for 10 to 80 degrees two-theta, low angle first:
2theta	I (rel.)
14.9	9
21.1	10
25.9	100
30.0	97
33.7	5
43.0	72
50.9	46
53.3	25
62.4	12
68.7	18
70.8	32
78.8	24

---

Record 5
Calculated PXRD pattern
Compound: CsLu2Cu3Se5
Radiation: Cu Kα X-rays
Structure: a cell relaxed with GGA-PBE

Cell and atoms:
```
CsLu2Cu3Se5
1.0
2.0437 -7.3344 0.0000
2.0437 7.3344 0.0000
0.0000 0.0000 17.1207
Cs Lu Cu Se
2 4 6 10
Cartesian
2.0437 6.4381 12.8406
2.0437 -6.4381 4.2802
2.0437 4.5099 1.5736
2.0437 4.5099 6.9868
2.0437 -4.5099 10.1339
2.0437 -4.5099 15.5472
2.0437 2.2732 12.8406
2.0437 1.2062 0.5712
2.0437 1.2062 7.9892
2.0437 -1.2062 9.1316
2.0437 -1.2062 16.5495
2.0437 -2.2732 4.2802
2.0437 4.8341 9.7507
2.0437 4.8341 15.9304
2.0437 3.8301 4.2802
2.0437 0.9338 10.4898
2.0437 0.9338 15.1913
2.0437 -0.9338 1.9294
2.0437 -0.9338 6.6309
2.0437 -3.8301 12.8406
2.0437 -4.8341 1.1904
2.0437 -4.8341 7.3700
```

Top 12 peaks for 10 to 80 degrees two-theta, low angle first:
2theta	I (rel.)
12.1	43
24.9	49
28.5	69
28.9	100
30.4	77
31.3	90
35.5	66
37.7	63
39.2	38
44.3	67
47.1	74
55.3	36

---

Record 6
Calculated PXRD pattern
Compound: CsMg6Cu
Radiation: Cu Kα X-rays
Structure: a cell relaxed with GGA-PBE

Cell and atoms:
```
CsMg6Cu
1.0
5.1692 0.0000 0.0000
0.0000 3.6036 5.7881
0.0000 -3.6036 5.7881
Cs Mg Cu
1 6 1
Cartesian
0.0000 0.0000 0.0000
0.0000 0.0000 5.4829
0.0000 -1.8223 8.5526
0.0000 1.8223 8.5527
2.5846 -1.5543 4.3160
2.5846 1.5543 4.3160
2.5846 0.0000 7.5323
2.5846 0.0000 2.2187
```

Top 12 peaks for 10 to 80 degrees two-theta, low angle first:
2theta	I (rel.)
14.5	64
22.5	42
23.1	43
24.7	15
29.2	28
31.5	29
34.1	100
34.7	34
35.6	37
46.0	15
53.9	18
61.8	17

---

Record 7
Calculated PXRD pattern
Compound: CsMg6Cu
Radiation: Cu Kα X-rays
Structure: a cell relaxed with GGA-PBE

Cell and atoms:
```
CsMg6Cu
1.0
4.8286 0.0000 0.0000
0.0000 2.9858 9.0402
0.0000 -2.9858 9.0402
Cs Mg Cu
1 6 1
Cartesian
0.0000 0.0000 0.0000
0.0000 0.0000 6.5208
0.0000 -1.5330 12.6479
0.0000 1.5330 12.6479
2.4143 -1.5206 5.5090
2.4143 1.5206 5.5090
2.4143 0.0000 11.6392
2.4143 0.0000 3.2500
```

Top 12 peaks for 10 to 80 degrees two-theta, low angle first:
2theta	I (rel.)
15.6	90
20.9	100
24.2	33
27.0	27
28.0	89
28.9	44
29.6	34
31.6	22
36.8	64
37.2	32
40.8	43
47.8	24

---

Record 8
Calculated PXRD pattern
Compound: CsMg6Cu
Radiation: Cu Kα X-rays
Structure: a cell relaxed with GGA-PBE

Cell and atoms:
```
CsMg6Cu
1.0
4.9667 0.0000 0.0000
0.0000 3.1032 7.9217
0.0000 -3.1032 7.9217
Cs Mg Cu
1 6 1
Cartesian
0.0000 0.0000 0.0000
0.0000 -1.4992 11.5337
0.0000 1.4992 11.5337
2.4834 -1.5055 5.4840
2.4834 0.0000 2.8425
2.4834 1.5055 5.4840
2.4834 0.0000 10.4359
0.0000 0.0000 5.6490
```

Top 12 peaks for 10 to 80 degrees two-theta, low angle first:
2theta	I (rel.)
15.3	57
17.9	43
21.1	40
22.1	97
23.6	44
28.6	100
28.8	52
36.0	84
36.2	43
36.6	30
42.8	33
48.9	41

---

Record 9
Calculated PXRD pattern
Compound: CsMg14Cu
Radiation: Cu Kα X-rays
Structure: a cell relaxed with GGA-PBE

Cell and atoms:
```
CsMg14Cu
1.0
10.7163 0.0000 0.0000
0.0000 3.1842 5.7317
0.0000 -3.1842 5.7317
Cs Mg Cu
1 14 1
Cartesian
0.0000 0.0000 0.0000
0.0000 -1.5408 2.8826
0.0000 1.5408 2.8826
2.5343 0.0000 7.5609
2.8473 -1.5330 4.7133
2.8473 1.5330 4.7133
2.8894 0.0000 1.9504
5.3581 0.0000 5.7483
5.3581 -1.5699 8.5868
5.3581 1.5699 8.5868
5.3581 0.0000 11.4468
7.8269 0.0000 1.9504
7.8690 -1.5330 4.7133
7.8690 1.5330 4.7133
8.1820 0.0000 7.5609
0.0000 0.0000 5.6996
```

Top 12 peaks for 10 to 80 degrees two-theta, low angle first:
2theta	I (rel.)
15.5	18
16.5	17
17.5	27
22.7	17
32.2	30
33.4	40
35.5	57
36.4	100
47.1	20
56.1	18
61.7	18
66.9	20

---

Record 10
Calculated PXRD pattern
Compound: CsMg14Cu
Radiation: Cu Kα X-rays
Structure: a cell relaxed with GGA-PBE

Cell and atoms:
```
CsMg14Cu
1.0
6.4883 0.0000 0.0000
-3.2442 5.6190 0.0000
0.0000 0.0000 10.7706
Cs Mg Cu
1 14 1
Cartesian
0.0000 0.0000 0.0000
-1.5930 2.8263 0.0000
0.0000 1.8672 3.0412
0.0000 1.8672 7.7295
-1.6271 4.6854 3.0412
-1.6271 4.6854 7.7295
1.5930 2.8263 0.0000
0.0000 5.5855 0.0000
3.2442 0.0689 5.3853
1.6817 2.7751 5.3853
3.2442 1.8730 2.6303
3.2442 1.8730 8.1403
1.6271 4.6854 3.0412
1.6271 4.6854 7.7295
4.8066 2.7751 5.3853
0.0000 0.0000 5.3853
```

Top 12 peaks for 10 to 80 degrees two-theta, low angle first:
2theta	I (rel.)
15.8	36
16.5	13
22.9	31
31.9	29
32.2	12
33.3	24
36.1	100
46.7	19
56.8	17
61.3	16
67.4	17
69.1	14

---

Record 11
Calculated PXRD pattern
Compound: CsMnCu3Se4
Radiation: Cu Kα X-rays
Structure: a cell relaxed with GGA-PBE

Cell and atoms:
```
CsMnCu3Se4
1.0
6.2539 0.0000 0.0000
0.0000 6.2539 0.0000
0.0000 0.0000 6.2539
Cs Mn Cu Se
1 1 3 4
Cartesian
0.0000 0.0000 0.0000
3.1269 3.1269 3.1269
0.0000 3.1269 3.1269
3.1269 0.0000 3.1269
3.1269 3.1269 0.0000
1.7975 1.7975 4.4564
1.7975 4.4564 1.7975
4.4564 1.7975 1.7975
4.4564 4.4564 4.4564
```

Top 12 peaks for 10 to 80 degrees two-theta, low angle first:
2theta	I (rel.)
14.2	9
20.1	28
24.7	100
35.1	21
40.8	99
48.3	40
54.9	14
59.1	13
63.1	14
65.0	11
74.3	22
77.9	9

---

Record 12
Calculated PXRD pattern
Compound: Cs2NbCuSe4
Radiation: Cu Kα X-rays
Structure: a cell relaxed with GGA-PBE

Cell and atoms:
```
Cs2NbCuSe4
1.0
0.0000 7.4823 13.0381
2.9143 0.0000 13.0381
2.9143 7.4823 0.0000
Cs Nb Cu Se
4 2 2 8
Cartesian
2.1857 5.6117 1.3760
3.6429 9.3529 7.8950
2.1857 5.6117 18.1811
3.6429 9.3529 24.7002
0.7286 1.8706 3.2595
5.1000 13.0940 22.8166
2.1857 5.6117 9.7786
3.6429 9.3529 16.2976
2.1597 3.2685 4.6498
3.6689 7.0096 11.1688
2.2117 7.9550 4.6498
2.2117 3.2685 14.9073
3.6169 11.6961 11.1688
3.6169 7.0096 21.4264
2.1597 7.9550 14.9073
3.6689 11.6961 21.4264
```

Top 12 peaks for 10 to 80 degrees two-theta, low angle first:
2theta	I (rel.)
13.6	48
23.7	92
25.6	100
27.4	21
29.1	93
33.0	19
37.1	44
41.8	31
46.7	21
48.0	38
51.6	25
54.0	18

---

What is the formula in the fifth record? CsLu2Cu3Se5